For Te10Mo3I10, a PBE-relaxed structure gives the simulated powder diffraction line list in this record (a wavelength of 1.5418 Å).

Largest 10 diffraction maxima, sorted by position, 10 to 80 degrees two-theta:
8.801 Å, intensity 100
8.008 Å, intensity 72
4.000 Å, intensity 62
3.779 Å, intensity 64
3.744 Å, intensity 96
3.567 Å, intensity 83
3.377 Å, intensity 87
3.007 Å, intensity 72
2.899 Å, intensity 53
2.576 Å, intensity 67

```
data_Te10Mo3I10
_chemical_formula_sum 'Te20 Mo6 I20'
_cell_length_a 11.1909
_cell_length_b 11.2303
_cell_length_c 18.1455
_cell_angle_alpha 84.01
_cell_angle_beta 75.95
_cell_angle_gamma 67.22
_symmetry_space_group_name_H-M 'P 1'
_symmetry_Int_Tables_number 1
loop_
_symmetry_equiv_pos_as_xyz
'x,y,z'
loop_
_atom_site_label
_atom_site_type_symbol
_atom_site_fract_x
_atom_site_fract_y
_atom_site_fract_z
Te1 Te 0.0393 0.2499 0.3589
Te2 Te 0.1095 0.4604 0.3204
Te3 Te 0.1661 0.4653 0.1275
Te4 Te 0.2205 0.9933 0.2195
Te5 Te 0.3185 0.0635 0.8535
Te6 Te 0.3227 0.9747 0.3980
Te7 Te 0.3779 0.0762 0.1017
Te8 Te 0.4258 0.3433 0.4254
Te9 Te 0.4427 0.2638 0.2252
Te10 Te 0.4512 0.9695 0.6286
Te11 Te 0.5488 0.0305 0.3714
Te12 Te 0.5573 0.7362 0.7748
Te13 Te 0.5742 0.6567 0.5746
Te14 Te 0.6221 0.9238 0.8983
Te15 Te 0.6773 0.0253 0.6020
Te16 Te 0.6815 0.9365 0.1465
Te17 Te 0.7795 0.0067 0.7805
Te18 Te 0.8339 0.5347 0.8725
Te19 Te 0.8905 0.5396 0.6796
Te20 Te 0.9607 0.7501 0.6411
Mo1 Mo 0.2130 0.2436 0.2208
Mo2 Mo 0.2957 0.2268 0.3601
Mo3 Mo 0.4356 0.0262 0.2503
Mo4 Mo 0.5644 0.9738 0.7497
Mo5 Mo 0.7043 0.7732 0.6399
Mo6 Mo 0.7870 0.7564 0.7792
I1 I 0.0157 0.6824 0.8486
I2 I 0.0462 0.9486 0.3850
I3 I 0.1112 0.1205 0.7774
I4 I 0.1953 0.2785 0.5224
I5 I 0.2710 0.8567 0.9450
I6 I 0.2853 0.6128 0.4267
I7 I 0.3002 0.3984 0.9767
I8 I 0.3181 0.6071 0.1543
I9 I 0.3371 0.6551 0.6793
I10 I 0.4321 0.2543 0.7637
I11 I 0.5679 0.7457 0.2363
I12 I 0.6629 0.3449 0.3207
I13 I 0.6819 0.3929 0.8457
I14 I 0.6998 0.6016 0.0233
I15 I 0.7147 0.3872 0.5733
I16 I 0.7290 0.1433 0.0550
I17 I 0.8047 0.7215 0.4776
I18 I 0.8888 0.8795 0.2226
I19 I 0.9538 0.0514 0.6150
I20 I 0.9843 0.3176 0.1514
```

=====

For Ba6Tm2Ga4O15, a PBE-relaxed structure gives the simulated powder diffraction line list in this record (a wavelength of 1.5418 Å).

Largest 10 diffraction maxima, sorted by position, 10 to 80 degrees two-theta:
3.096 Å, intensity 47
3.003 Å, intensity 51
2.961 Å, intensity 95
2.910 Å, intensity 100
2.156 Å, intensity 44
2.003 Å, intensity 21
1.772 Å, intensity 15
1.726 Å, intensity 16
1.716 Å, intensity 18
1.666 Å, intensity 16

```
data_Ba6Tm2Ga4O15
_chemical_formula_sum 'Ba12 Tm4 Ga8 O30'
_cell_length_a 8.0150
_cell_length_b 6.0071
_cell_length_c 18.5832
_cell_angle_alpha 90.00
_cell_angle_beta 91.45
_cell_angle_gamma 90.00
_symmetry_space_group_name_H-M 'P 1'
_symmetry_Int_Tables_number 1
loop_
_symmetry_equiv_pos_as_xyz
'x,y,z'
loop_
_atom_site_label
_atom_site_type_symbol
_atom_site_fract_x
_atom_site_fract_y
_atom_site_fract_z
Ba1 Ba 0.0000 0.1688 0.2500
Ba2 Ba 0.0000 0.8312 0.7500
Ba3 Ba 0.0014 0.2564 0.5782
Ba4 Ba 0.0014 0.7436 0.0782
Ba5 Ba 0.4733 0.2459 0.9109
Ba6 Ba 0.4733 0.7541 0.4109
Ba7 Ba 0.5000 0.2223 0.2500
Ba8 Ba 0.5000 0.7777 0.7500
Ba9 Ba 0.5267 0.2459 0.5891
Ba10 Ba 0.5267 0.7541 0.0891
Ba11 Ba 0.9986 0.2564 0.9218
Ba12 Ba 0.9986 0.7436 0.4218
Tm1 Tm 0.2515 0.2456 0.0897
Tm2 Tm 0.2515 0.7544 0.5897
Tm3 Tm 0.7485 0.2456 0.4103
Tm4 Tm 0.7485 0.7544 0.9103
Ga1 Ga 0.2541 0.2492 0.4421
Ga2 Ga 0.2541 0.7508 0.9421
Ga3 Ga 0.2696 0.2740 0.7328
Ga4 Ga 0.2696 0.7260 0.2328
Ga5 Ga 0.7304 0.2740 0.7672
Ga6 Ga 0.7304 0.7260 0.2672
Ga7 Ga 0.7459 0.2492 0.0579
Ga8 Ga 0.7459 0.7508 0.5579
O1 O 0.0308 0.2548 0.4093
O2 O 0.0308 0.7452 0.9093
O3 O 0.1872 0.1735 0.8173
O4 O 0.1872 0.8265 0.3173
O5 O 0.2259 0.4574 0.1875
O6 O 0.2259 0.5426 0.6875
O7 O 0.2500 0.0443 0.6637
O8 O 0.2500 0.9557 0.1637
O9 O 0.2640 0.4952 0.5065
O10 O 0.2640 0.5048 0.0065
O11 O 0.2652 0.0064 0.0007
O12 O 0.2652 0.9936 0.5007
O13 O 0.4554 0.2610 0.3928
O14 O 0.4554 0.7390 0.8928
O15 O 0.5000 0.2955 0.7500
O16 O 0.5000 0.7045 0.2500
O17 O 0.5446 0.2610 0.1072
O18 O 0.5446 0.7390 0.6072
O19 O 0.7348 0.0064 0.4993
O20 O 0.7348 0.9936 0.9993
O21 O 0.7360 0.4952 0.9935
O22 O 0.7360 0.5048 0.4935
O23 O 0.7500 0.0443 0.8363
O24 O 0.7500 0.9557 0.3363
O25 O 0.7741 0.4574 0.3125
O26 O 0.7741 0.5426 0.8125
O27 O 0.8128 0.1735 0.6827
O28 O 0.8128 0.8265 0.1827
O29 O 0.9692 0.2548 0.0907
O30 O 0.9692 0.7452 0.5907
```